Record 1
For Tm3Mg3Co, a DFT-relaxed cell (GGA-PBE, Alexandria) gives the computed powder diffraction line list in this record (CuKα).
Neutral-atom scattering factors, no anomalous dispersion.

Principal peaks in the range 10 to 80 degrees two-theta, by angle:
- 10.9 deg, intensity 74
- 25.4 deg, intensity 34
- 27.8 deg, intensity 31
- 31.3 deg, intensity 74
- 33.2 deg, intensity 100
- 36.3 deg, intensity 44
- 46.3 deg, intensity 36
- 50.0 deg, intensity 21
- 53.6 deg, intensity 18
- 55.7 deg, intensity 68

Crystal structure
Unit cell a=9.903 b=9.903 c=9.903 alpha=60.00 beta=60.00 gamma=60.00
Element x y z (fractional)
Tm1 0.068 0.068 0.682
Tm2 0.068 0.682 0.068
Tm3 0.068 0.682 0.682
Tm4 0.318 0.318 0.932
Tm5 0.318 0.932 0.318
Tm6 0.318 0.932 0.932
Tm7 0.682 0.068 0.068
Tm8 0.682 0.068 0.682
Tm9 0.682 0.682 0.068
Tm10 0.932 0.318 0.318
Tm11 0.932 0.318 0.932
Tm12 0.932 0.932 0.318
Mg1 0.000 0.500 0.500
Mg2 0.294 0.294 0.294
Mg3 0.294 0.294 0.618
Mg4 0.294 0.618 0.294
Mg5 0.382 0.706 0.706
Mg6 0.500 0.000 0.500
Mg7 0.500 0.500 0.000
Mg8 0.500 0.500 0.500
Mg9 0.618 0.294 0.294
Mg10 0.706 0.382 0.706
Mg11 0.706 0.706 0.382
Mg12 0.706 0.706 0.706
Co1 0.000 0.000 0.000
Co2 0.000 0.000 0.500
Co3 0.000 0.500 0.000
Co4 0.500 0.000 0.000

=====

Record 2
For Na5B7C3, a DFT-relaxed cell (GGA-PBE, Alexandria) gives the computed powder diffraction line list in this record (CuKα).
Neutral-atom scattering factors, no anomalous dispersion.

Principal peaks in the range 10 to 80 degrees two-theta, by angle:
- 34.8 deg, intensity 12
- 36.3 deg, intensity 17
- 40.9 deg, intensity 50
- 42.2 deg, intensity 100
- 42.2 deg, intensity 38
- 56.9 deg, intensity 10
- 63.4 deg, intensity 17
- 66.2 deg, intensity 8
- 77.1 deg, intensity 13
- 79.1 deg, intensity 16

Crystal structure
Unit cell a=8.562 b=12.954 c=12.954 alpha=12.52 beta=90.00 gamma=90.00
Element x y z (fractional)
Na1 0.244 0.000 0.000
Na2 0.246 0.399 0.399
Na3 0.247 0.800 0.800
Na4 0.248 0.202 0.202
Na5 0.248 0.602 0.602
Na6 0.752 0.202 0.202
Na7 0.752 0.602 0.602
Na8 0.753 0.800 0.800
Na9 0.754 0.399 0.399
Na10 0.756 0.000 0.000
B1 0.000 0.074 0.074
B2 0.000 0.267 0.267
B3 0.000 0.461 0.461
B4 0.000 0.533 0.533
B5 0.000 0.670 0.670
B6 0.000 0.864 0.864
B7 0.500 0.071 0.071
B8 0.500 0.135 0.135
B9 0.500 0.333 0.333
B10 0.500 0.465 0.465
B11 0.500 0.528 0.528
B12 0.500 0.675 0.675
B13 0.500 0.742 0.742
B14 0.500 0.924 0.924
C1 0.000 0.138 0.138
C2 0.000 0.332 0.332
C3 0.000 0.735 0.735
C4 0.000 0.929 0.929
C5 0.500 0.271 0.271
C6 0.500 0.864 0.864